YRhAu2: calculated powder X-ray diffraction pattern (Cu Kα, 1.54184 Å), based on the GGA-PBE geometry in Alexandria.
Neutral-atom scattering factors, no anomalous dispersion.

Crystal structure
Lattice parameters (Å, degrees): 4.239 4.239 8.388 90.00 90.00 90.00
Space group I-4m2 (No. 119)
Asymmetric unit:
Y: 0.000 0.000 0.000
Rh: 0.000 0.500 0.750
Au: 0.000 0.000 0.500
Au: 0.000 0.500 0.250

Main lines, sorted by position (10 to 90 degrees two-theta):
Position (°2θ), Rel. int., (hkl)
23.5, 17, 1 0 1
36.9, 100, 1 1 2
42.7, 33, 2 0 0
43.1, 16, 0 0 4
49.3, 5, 2 1 1
61.9, 11, 2 2 0
62.3, 22, 2 0 4
74.3, 26, 3 1 2
75.0, 13, 1 1 6
78.4, 11, 2 2 4

***

Ac2Tb8Ho3: calculated powder X-ray diffraction pattern (Cu Kα, 1.54184 Å), based on the GGA-PBE geometry in Alexandria.
Neutral-atom scattering factors, no anomalous dispersion.

Crystal structure
Lattice parameters (Å, degrees): 13.204 11.747 6.237 90.00 113.93 90.00
Space group C2/m (No. 12)
Asymmetric unit:
Ac: 0.201 0.000 0.353
Tb: 0.071 0.000 0.771
Tb: 0.150 0.500 0.042
Tb: 0.165 0.247 0.672
Ho: 0.000 0.251 0.000
Ho: 0.000 0.500 0.500

Main lines, sorted by position (10 to 90 degrees two-theta):
Position (°2θ), Rel. int., (hkl)
25.5, 15, 2 0 1
29.7, 25, 2 2 1
30.1, 34, 1 1 -2
30.4, 56, 0 4 0
31.3, 100, 4 2 -1
32.6, 25, 2 2 -2
32.9, 28, 3 1 1
37.2, 20, 1 3 -2
39.6, 17, 3 3 1
54.6, 21, 4 6 -1

***

La3Pr8Sm2: calculated powder X-ray diffraction pattern (Cu Kα, 1.54184 Å), based on the GGA-PBE geometry in Alexandria.
Neutral-atom scattering factors, no anomalous dispersion.

Crystal structure
Lattice parameters (Å, degrees): 6.423 8.320 17.768 89.99 86.62 82.50
Space group P-1 (No. 2)
Asymmetric unit:
La: 0.000 0.000 0.000
La: 0.000 0.500 0.500
La: 0.386 0.462 0.231
La: 0.387 0.961 0.731
Pr: 0.076 0.192 0.346
Pr: 0.076 0.694 0.847
Pr: 0.155 0.384 0.692
Pr: 0.156 0.885 0.192
Pr: 0.230 0.076 0.538
Pr: 0.232 0.576 0.038
Pr: 0.307 0.268 0.885
Pr: 0.462 0.654 0.576
Sm: 0.307 0.769 0.385
Sm: 0.462 0.154 0.076

Main lines, sorted by position (10 to 90 degrees two-theta):
Position (°2θ), Rel. int., (hkl)
29.5, 100, 1 1 5
34.1, 17, 1 3 1
34.2, 34, 2 -1 3
49.1, 24, 3 2 4
49.2, 12, 1 -1 9
58.2, 15, 3 4 0
58.4, 25, 4 0 2
61.1, 9, 4 2 -2
79.5, 7, 4 4 -6
79.7, 7, 5 3 3